Calculated X-ray diffraction stick pattern
Compound: Ba3ErMn2O9
Radiation: a wavelength of 1.5418 Å
Structure: the PBE+U geometry in the Materials Project

Structure:
```
30
Lattice="5.9079 0.0000 0.0000 -2.9539 5.1164 0.0000 0.0000 0.0000 14.4256" Properties=species:S:1:pos:R:3 pbc="T T T"
Ba 0.0000 0.0000 3.6064
Ba 0.0000 0.0000 10.8192
Ba 0.0000 3.4109 1.3208
Ba 0.0000 3.4109 5.8920
Ba 2.9539 1.7055 8.5336
Ba 2.9539 1.7055 13.1048
Er 0.0000 0.0000 0.0000
Er 0.0000 0.0000 7.2128
Mn 0.0000 3.4109 9.5088
Mn 0.0000 3.4109 12.1297
Mn 2.9539 1.7055 2.2960
Mn 2.9539 1.7055 4.9169
O -1.2753 2.6746 10.8192
O 0.0000 1.8312 8.4716
O 0.0000 1.8312 13.1669
O -1.3680 4.2008 8.4716
O -1.3680 4.2008 13.1669
O 1.5859 0.9156 1.2588
O 1.5859 0.9156 5.9541
O 1.2753 2.6746 10.8192
O 0.0000 4.8835 10.8192
O 2.9539 0.2329 3.6064
O 1.6787 2.4417 3.6064
O 1.3680 4.2008 8.4716
O 1.3680 4.2008 13.1669
O 4.3220 0.9156 1.2588
O 4.3220 0.9156 5.9541
O 2.9539 3.2851 1.2588
O 2.9539 3.2851 5.9541
O 4.2292 2.4417 3.6064
```

Largest 10 diffraction maxima, sorted by position, 10 to 90 degrees two-theta:
2θ = 25.42°, I 15
2θ = 30.29°, I 100
2θ = 39.92°, I 11
2θ = 43.37°, I 25
2θ = 53.77°, I 28
2θ = 53.91°, I 5
2θ = 57.40°, I 6
2θ = 62.93°, I 10
2θ = 71.44°, I 8
2θ = 87.35°, I 11

Calculated X-ray diffraction stick pattern
Compound: BaErMn2O5
Radiation: a wavelength of 1.5418 Å
Structure: the PBE+U geometry in the Materials Project

Structure:
```
9
Lattice="3.9725 0.0000 0.0000 0.0000 3.9725 0.0000 0.0000 0.0000 7.7665" Properties=species:S:1:pos:R:3 pbc="T T T"
Ba 0.0000 0.0000 0.0000
Er 0.0000 0.0000 3.8833
Mn 1.9863 1.9863 1.9641
Mn 1.9863 1.9863 5.8025
O 0.0000 1.9863 1.9781
O 0.0000 1.9863 5.7885
O 1.9863 0.0000 1.9781
O 1.9863 0.0000 5.7885
O 1.9863 1.9863 3.8833
```

Largest 10 diffraction maxima, sorted by position, 10 to 90 degrees two-theta:
2θ = 22.38°, I 22
2θ = 31.86°, I 43
2θ = 32.24°, I 100
2θ = 39.60°, I 26
2θ = 45.68°, I 29
2θ = 46.79°, I 13
2θ = 57.00°, I 39
2θ = 57.72°, I 16
2θ = 66.58°, I 9
2θ = 67.45°, I 16

Calculated X-ray diffraction stick pattern
Compound: Ba3SrEr2Mo2O12
Radiation: a wavelength of 1.5418 Å
Structure: the PBE+U geometry in the Materials Project

Structure:
```
20
Lattice="5.9456 0.0000 0.0000 2.9155 5.1913 0.0000 2.8423 1.6704 9.7749" Properties=species:S:1:pos:R:3 pbc="T T T"
Ba 0.0000 0.0000 0.0000
Ba 2.9261 1.7226 2.4510
Ba 8.7751 5.1507 7.3218
Sr 5.8511 3.4387 4.8831
Er 5.8100 3.4142 8.5425
Er 8.8181 5.1719 3.6724
Mo 2.8853 1.6955 6.0969
Mo 5.8917 3.4587 1.2313
O 1.5217 0.8967 4.9607
O 3.0232 3.3009 4.8451
O 5.6916 5.2830 7.3608
O 4.2487 2.5035 7.2329
O 4.4543 4.4099 2.3131
O 7.2271 5.9089 5.0211
O 4.5332 2.6559 0.0731
O 8.8335 6.7272 9.7362
O 5.7963 1.8788 2.5203
O 7.2483 4.2536 2.3914
O 7.3646 2.6574 7.1540
O 7.3309 2.5052 0.1400
```

Largest 10 diffraction maxima, sorted by position, 10 to 90 degrees two-theta:
2θ = 29.74°, I 69
2θ = 29.97°, I 100
2θ = 30.06°, I 33
2θ = 42.57°, I 41
2θ = 43.29°, I 19
2θ = 52.89°, I 35
2θ = 53.04°, I 21
2θ = 53.32°, I 13
2θ = 61.77°, I 13
2θ = 70.06°, I 15

Calculated X-ray diffraction stick pattern
Compound: BaEr2NiO5
Radiation: a wavelength of 1.5418 Å
Structure: the PBE+U geometry in the Materials Project

Structure:
```
9
Lattice="-1.8905 2.8835 5.6704 1.8905 -2.8835 5.6704 1.8905 2.8835 -5.6704" Properties=species:S:1:pos:R:3 pbc="T T T"
Ba 0.0000 0.0000 0.0000
Er 1.8905 0.0000 3.3639
Er 0.0000 2.8835 2.3065
Ni 0.0000 0.0000 5.6704
O 1.8905 1.5022 -1.7125
O 1.8905 1.5022 1.7125
O 0.0000 2.8835 0.0000
O 0.0000 1.3813 3.9579
O 0.0000 1.3813 7.3828
```

Largest 10 diffraction maxima, sorted by position, 10 to 90 degrees two-theta:
2θ = 28.23°, I 40
2θ = 31.01°, I 31
2θ = 32.42°, I 100
2θ = 40.12°, I 12
2θ = 44.83°, I 15
2θ = 46.70°, I 15
2θ = 48.13°, I 19
2θ = 56.07°, I 22
2θ = 57.12°, I 16
2θ = 58.37°, I 13

Calculated X-ray diffraction stick pattern
Compound: Ba5Er8Ni4O21
Radiation: a wavelength of 1.5418 Å
Structure: the PBE+U geometry in the Materials Project

Structure:
```
38
Lattice="-6.8600 6.8600 2.8493 6.8600 -6.8600 2.8493 6.8600 6.8600 -2.8493" Properties=species:S:1:pos:R:3 pbc="T T T"
Ba 0.0000 0.0000 0.0000
Ba 6.3449 1.8986 0.0000
Ba 4.9614 -0.5151 2.8493
Ba 1.8986 7.3751 0.0000
Ba 0.5151 4.9614 2.8493
Er 10.2894 2.2913 0.0000
Er 2.2913 3.4307 0.0000
Er 8.0738 4.8986 0.0000
Er 4.8986 5.6462 0.0000
Er 1.9615 1.2138 2.8493
Er -1.2138 1.9615 2.8493
Er 4.5687 3.4294 2.8493
Er -3.4294 4.5687 2.8493
Ni 3.3680 0.5604 0.0000
Ni 6.2997 -3.4921 2.8493
Ni 0.5604 10.3521 0.0000
Ni 3.4921 6.2997 2.8493
O 4.8339 -3.3175 1.4464
O 8.6559 0.5222 0.0000
O 6.2044 4.4126 -1.4235
O 10.1775 -2.0262 1.4029
O 2.4475 -0.6556 1.4258
O 4.4126 7.5157 -1.4235
O 0.5222 5.0642 0.0000
O 3.5426 2.0262 1.4029
O 0.6556 2.4475 1.4258
O 8.8862 3.3175 1.4464
O 0.0000 0.0000 2.8493
O -2.0262 3.5426 1.4029
O 6.2044 4.4126 1.4235
O 3.3175 4.8339 1.4464
O 6.3378 1.7958 2.8493
O 2.4475 -0.6556 4.2728
O 4.4126 7.5157 1.4235
O -3.3175 8.8862 1.4464
O 0.6556 2.4475 4.2728
O -1.7958 6.3378 2.8493
O 2.0262 10.1775 1.4029
```

Largest 10 diffraction maxima, sorted by position, 10 to 90 degrees two-theta:
2θ = 28.20°, I 49
2θ = 29.11°, I 18
2θ = 31.12°, I 100
2θ = 31.40°, I 42
2θ = 36.34°, I 33
2θ = 38.25°, I 15
2θ = 43.34°, I 20
2θ = 46.42°, I 19
2θ = 50.29°, I 12
2θ = 55.72°, I 19

Calculated X-ray diffraction stick pattern
Compound: BaEuMgFe2O5
Radiation: a wavelength of 1.5418 Å
Structure: the PBE+U geometry in the Materials Project

Structure:
```
10
Lattice="7.5074 0.0000 0.0000 0.0000 2.9950 3.9373 0.0000 -2.9950 3.9373" Properties=species:S:1:pos:R:3 pbc="T T T"
Ba 0.0000 0.0000 0.0000
Eu 3.7537 0.0000 2.2697
Mg 3.7537 0.0000 7.1635
Fe 1.6911 0.0000 4.4662
Fe 5.8163 0.0000 4.4662
O 0.0000 0.0000 5.3544
O 2.3622 -1.5461 3.5555
O 2.3622 1.5461 3.5555
O 5.1452 -1.5461 3.5555
O 5.1452 1.5461 3.5555
```

Largest 10 diffraction maxima, sorted by position, 10 to 90 degrees two-theta:
2θ = 22.09°, I 100
2θ = 25.55°, I 66
2θ = 29.83°, I 44
2θ = 30.31°, I 85
2θ = 37.41°, I 36
2θ = 39.67°, I 50
2θ = 40.72°, I 28
2θ = 44.77°, I 31
2θ = 48.54°, I 26
2θ = 58.01°, I 25

Calculated X-ray diffraction stick pattern
Compound: BaEuMgFe2O5
Radiation: a wavelength of 1.5418 Å
Structure: the PBE+U geometry in the Materials Project

Structure:
```
10
Lattice="3.7955 0.0000 0.0000 0.0000 5.7888 0.0000 0.0000 0.0000 7.2725" Properties=species:S:1:pos:R:3 pbc="T T T"
Ba 0.0000 0.0000 0.0000
Eu 0.0000 0.0000 3.6363
Mg 0.0000 2.8944 0.0000
Fe 1.8978 2.8944 2.1617
Fe 1.8978 2.8944 5.1108
O 0.0000 2.8944 2.0291
O 0.0000 2.8944 5.2434
O 1.8978 0.0000 2.0100
O 1.8978 0.0000 5.2626
O 1.8978 2.8944 0.0000
```

Largest 10 diffraction maxima, sorted by position, 10 to 90 degrees two-theta:
2θ = 28.11°, I 99
2θ = 29.00°, I 100
2θ = 30.89°, I 98
2θ = 34.15°, I 87
2θ = 37.62°, I 49
2θ = 46.71°, I 71
2θ = 47.94°, I 27
2θ = 57.00°, I 29
2θ = 58.12°, I 29
2θ = 74.91°, I 31